Computed PXRD pattern of HoInPd for copper Kα, from a GGA-PBE-relaxed structure.
Kinematic intensities with the Lorentz-polarization factor, no thermal factor.

```
data_HoInPd
_chemical_formula_sum 'Ho3 In3 Pd3'
_cell_length_a 7.760
_cell_length_b 7.760
_cell_length_c 3.785
_cell_angle_alpha 90.00
_cell_angle_beta 90.00
_cell_angle_gamma 120.00
_symmetry_space_group_name_H-M 'P 1'
_symmetry_Int_Tables_number 1
loop_
_symmetry_equiv_pos_as_xyz
'x,y,z'
loop_
_atom_site_label
_atom_site_type_symbol
_atom_site_fract_x
_atom_site_fract_y
_atom_site_fract_z
_atom_site_occupancy
Ho1 Ho 0.000 0.595 0.000 1
Ho2 Ho 0.405 0.405 0.000 1
Ho3 Ho 0.595 0.000 0.000 1
In1 In 0.000 0.262 0.500 1
In2 In 0.262 0.000 0.500 1
In3 In 0.738 0.738 0.500 1
Pd1 Pd 0.000 0.000 0.000 1
Pd2 Pd 0.333 0.667 0.500 1
Pd3 Pd 0.667 0.333 0.500 1
```

Top 12 peaks for 10° ≤ 2θ ≤ 90°, low angle first:
(hkl), d_spacing, intensity
1 1 1, 2.709, 100
2 1 0, 2.540, 45
2 0 1, 2.513, 81
3 0 0, 2.240, 41
2 1 1, 2.109, 19
0 0 2, 1.893, 21
3 1 0, 1.864, 15
3 1 1, 1.672, 16
2 1 2, 1.518, 18
3 0 2, 1.446, 20
3 2 1, 1.428, 31
5 0 1, 1.267, 11